# 1
# Dy3Ni3Sb4
Calculated XRD peak list, Cu Kα, 1.54184 Å. Input: DFT lattice parameters and positions (PBE).

Structure:
Unit cell a=8.2151 b=8.2151 c=8.2151 alpha=109.47 beta=109.47 gamma=109.47
Positions (direct):
Dy  0.1250  0.7500  0.8750
Dy  0.2500  0.6250  0.3750
Dy  0.3750  0.2500  0.6250
Dy  0.6250  0.3750  0.2500
Dy  0.7500  0.8750  0.1250
Dy  0.8750  0.1250  0.7500
Ni  0.1250  0.8750  0.2500
Ni  0.2500  0.1250  0.8750
Ni  0.3750  0.6250  0.7500
Ni  0.6250  0.7500  0.3750
Ni  0.7500  0.3750  0.6250
Ni  0.8750  0.2500  0.1250
Sb  0.0000  0.3562  0.5000
Sb  0.0000  0.8562  0.5000
Sb  0.1438  0.1438  0.1438
Sb  0.3562  0.5000  0.0000
Sb  0.5000  0.0000  0.3562
Sb  0.5000  0.0000  0.8562
Sb  0.6438  0.6438  0.6438
Sb  0.8562  0.5000  0.0000

The 10 most intense peaks (15 to 90 degrees two-theta), by angle:
2θ = 29.78°, I = 70; 2θ = 35.41°, I = 100; 2θ = 42.62°, I = 39; 2θ = 44.81°, I = 16; 2θ = 46.92°, I = 17; 2θ = 48.96°, I = 16; 2θ = 60.13°, I = 23; 2θ = 61.86°, I = 15; 2θ = 63.56°, I = 10; 2θ = 73.34°, I = 20

***

# 2
# AlInSi2
Calculated XRD peak list, Cu Kα, 1.54184 Å. Input: DFT lattice parameters and positions (PBE).

Structure:
Unit cell a=4.7204 b=4.7204 c=4.7204 alpha=60.00 beta=60.00 gamma=60.00
Positions (direct):
Al  0.0000  0.0000  0.0000
In  0.5000  0.5000  0.5000
Si  0.2500  0.2500  0.2500
Si  0.7500  0.7500  0.7500

The 10 most intense peaks (15 to 90 degrees two-theta), by angle:
2θ = 23.08°, I = 49; 2θ = 26.71°, I = 23; 2θ = 38.13°, I = 100; 2θ = 45.04°, I = 25; 2θ = 55.02°, I = 17; 2θ = 60.45°, I = 10; 2θ = 62.19°, I = 9; 2θ = 68.91°, I = 34; 2θ = 81.58°, I = 11; 2θ = 86.19°, I = 7

***

# 3
# CsRhIO2
Calculated XRD peak list, Cu Kα, 1.54184 Å. Input: DFT lattice parameters and positions (PBE).

Structure:
Unit cell a=4.5152 b=4.5152 c=5.4128 alpha=90.00 beta=90.00 gamma=90.00
Positions (direct):
Cs  0.0000  0.0000  0.0000
Rh  0.5000  0.5000  0.5000
I  0.5000  0.5000  0.0000
O  0.0000  0.5000  0.5000
O  0.5000  0.0000  0.5000

The 10 most intense peaks (15 to 90 degrees two-theta), by angle:
2θ = 19.66°, I = 24; 2θ = 25.69°, I = 29; 2θ = 27.95°, I = 100; 2θ = 32.56°, I = 42; 2θ = 33.10°, I = 47; 2θ = 39.93°, I = 55; 2θ = 43.85°, I = 59; 2θ = 52.81°, I = 47; 2θ = 68.21°, I = 21; 2θ = 75.25°, I = 25

***

# 4
# PrY2Er5
Calculated XRD peak list, Cu Kα, 1.54184 Å. Input: DFT lattice parameters and positions (PBE).

Structure:
Unit cell a=7.0883 b=8.6933 c=9.3759 alpha=107.89 beta=112.00 gamma=90.27
Positions (direct):
Pr  0.0932  0.3098  0.4374
Pr  0.9068  0.6902  0.5626
Y  0.2802  0.9351  0.3102
Y  0.4064  0.6885  0.5635
Y  0.5936  0.3115  0.4365
Y  0.7198  0.0649  0.6898
Er  0.0342  0.4403  0.8171
Er  0.1561  0.1875  0.0607
Er  0.2210  0.0657  0.6913
Er  0.3448  0.8139  0.9386
Er  0.4679  0.5622  0.1847
Er  0.5321  0.4378  0.8153
Er  0.6552  0.1861  0.0614
Er  0.7790  0.9343  0.3087
Er  0.8439  0.8125  0.9393
Er  0.9658  0.5597  0.1829

The 10 most intense peaks (15 to 90 degrees two-theta), by angle:
2θ = 30.87°, I = 100; 2θ = 35.75°, I = 34; 2θ = 35.90°, I = 17; 2θ = 51.47°, I = 18; 2θ = 51.58°, I = 18; 2θ = 61.17°, I = 14; 2θ = 61.25°, I = 14; 2θ = 61.42°, I = 14; 2θ = 64.32°, I = 12; 2θ = 84.19°, I = 7